This entry pairs a crystal structure of Rb2PaBiS5 with its theoretical X-ray diffraction stick pattern. Radiation: Cu Ka. Structure: a structure optimized by DFT (GGA-PBE).
Intensities are scaled so that the largest is 100.

Largest 10 diffraction maxima, in order of rising 2θ, 2θ = 5–70°:
- 11.3°, d 7.831, I 100.0
- 15.2°, d 5.839, I 38.7
- 19.8°, d 4.485, I 37.1
- 24.3°, d 3.665, I 62.5
- 24.9°, d 3.575, I 36.7
- 25.8°, d 3.447, I 38.4
- 26.5°, d 3.365, I 48.2
- 27.5°, d 3.248, I 75.5
- 31.1°, d 2.872, I 55.1
- 35.9°, d 2.500, I 48.1

```
Rb2PaBiS5
1.0
2.1345 -8.7629 0.0000
2.1345 8.7629 0.0000
0.0000 0.0000 15.6620
Rb Pa Bi S
4 2 2 10
Direct
0.0879 0.9121 0.5000
0.1476 0.8524 0.1318
0.8524 0.1476 0.6318
0.9121 0.0879 0.0000
0.2199 0.7801 0.8588
0.7801 0.2199 0.3588
0.4698 0.5302 0.2752
0.5302 0.4698 0.7752
0.0714 0.9286 0.8859
0.2716 0.7284 0.4642
0.3103 0.6897 0.2512
0.3607 0.6393 0.8234
0.4962 0.5038 0.6205
0.5038 0.4962 0.1205
0.6393 0.3607 0.3234
0.6897 0.3103 0.7512
0.7284 0.2716 0.9642
0.9286 0.0714 0.3859
```